Record 1
RbYTe4: simulated X-ray diffraction stick pattern (CuKα), based on DFT lattice parameters and positions (GGA-PBE).
Intensities are scaled so that the largest is 100.

Principal peaks in the range 2θ = 15–90°, in order of falling intensity:
2.916 Å, 30.66°, intensity 100
3.348 Å, 26.63°, intensity 59
2.174 Å, 41.55°, intensity 51
1.847 Å, 49.35°, intensity 33
2.558 Å, 35.07°, intensity 27
2.757 Å, 32.48°, intensity 26
3.080 Å, 28.99°, intensity 18
1.610 Å, 57.22°, intensity 17
4.619 Å, 19.21°, intensity 15
1.528 Å, 60.59°, intensity 14

Lattice parameters (Å, degrees): 6.8709 6.8709 9.2386 90.00 90.00 90.00
Fractional positions:
Rb 0.2500 0.2500 0.0000
Rb 0.7500 0.7500 0.0000
Y 0.2500 0.2500 0.5000
Y 0.7500 0.7500 0.5000
Te 0.1039 0.6039 0.3005
Te 0.1039 0.8961 0.6995
Te 0.3961 0.6039 0.6995
Te 0.3961 0.8961 0.3005
Te 0.6039 0.1039 0.6995
Te 0.6039 0.3961 0.3005
Te 0.8961 0.1039 0.3005
Te 0.8961 0.3961 0.6995

***

Record 2
Pm4NdHo7: simulated X-ray diffraction stick pattern (CuKα), based on DFT lattice parameters and positions (GGA-PBE).
Intensities are scaled so that the largest is 100.

Principal peaks in the range 2θ = 15–90°, in order of falling intensity:
2.837 Å, 31.53°, intensity 100
2.803 Å, 31.92°, intensity 86
2.886 Å, 30.99°, intensity 40
2.938 Å, 30.42°, intensity 37
1.626 Å, 56.60°, intensity 27
1.966 Å, 46.17°, intensity 13
2.086 Å, 43.37°, intensity 13
2.758 Å, 32.46°, intensity 13
1.418 Å, 65.85°, intensity 11
1.998 Å, 45.39°, intensity 11

Lattice parameters (Å, degrees): 6.5818 6.8629 9.0603 84.67 77.10 81.38
Fractional positions:
Pm 0.1387 0.3039 0.2872
Pm 0.3350 0.8877 0.6889
Pm 0.6650 0.1123 0.3111
Pm 0.8613 0.6961 0.7128
Nd 0.5000 0.5000 0.0000
Ho 0.0139 0.2502 0.9508
Ho 0.1814 0.7969 0.3565
Ho 0.3115 0.3957 0.6161
Ho 0.5000 0.0000 0.0000
Ho 0.6885 0.6043 0.3839
Ho 0.8186 0.2031 0.6435
Ho 0.9861 0.7498 0.0492

***

Record 3
Dy2Cu4Se5: simulated X-ray diffraction stick pattern (CuKα), based on DFT lattice parameters and positions (GGA-PBE).
Intensities are scaled so that the largest is 100.

Principal peaks in the range 2θ = 15–90°, in order of falling intensity:
2.759 Å, 32.46°, intensity 100
2.007 Å, 45.19°, intensity 99
3.036 Å, 29.42°, intensity 66
1.899 Å, 47.90°, intensity 52
1.624 Å, 56.67°, intensity 44
3.348 Å, 26.62°, intensity 44
2.321 Å, 38.80°, intensity 36
2.771 Å, 32.30°, intensity 21
1.137 Å, 85.41°, intensity 19
1.379 Å, 67.96°, intensity 18

Lattice parameters (Å, degrees): 16.7878 16.7878 16.7878 13.73 13.73 13.73
Fractional positions:
Dy 0.1323 0.1323 0.1323
Dy 0.8677 0.8677 0.8677
Cu 0.3139 0.3139 0.3139
Cu 0.4145 0.4145 0.4145
Cu 0.5855 0.5855 0.5855
Cu 0.6861 0.6861 0.6861
Se 0.2356 0.2356 0.2356
Se 0.3663 0.3663 0.3663
Se 0.5000 0.5000 0.5000
Se 0.6337 0.6337 0.6337
Se 0.7644 0.7644 0.7644

***

Record 4
Nd3Mg: simulated X-ray diffraction stick pattern (CuKα), based on DFT lattice parameters and positions (GGA-PBE).
Intensities are scaled so that the largest is 100.

Principal peaks in the range 2θ = 15–90°, in order of falling intensity:
2.779 Å, 32.21°, intensity 100
2.894 Å, 30.89°, intensity 29
2.668 Å, 33.58°, intensity 27
1.648 Å, 55.80°, intensity 21
3.007 Å, 29.71°, intensity 20
3.168 Å, 28.17°, intensity 17
3.248 Å, 27.46°, intensity 17
1.507 Å, 61.53°, intensity 14
5.337 Å, 16.61°, intensity 13
1.765 Å, 51.78°, intensity 13

Lattice parameters (Å, degrees): 3.7271 11.5779 6.0139 90.00 90.00 90.00
Fractional positions:
Nd 0.0000 0.0000 0.0000
Nd 0.0000 0.2327 0.6208
Nd 0.0000 0.7673 0.6208
Nd 0.5000 0.2673 0.1208
Nd 0.5000 0.5000 0.5000
Nd 0.5000 0.7327 0.1208
Mg 0.0000 0.5000 0.9858
Mg 0.5000 0.0000 0.4858